# 1
For FeAu3, a PBE-relaxed structure gives the theoretical X-ray powder pattern in this record (Cu Kα).
Intensities are scaled so that the largest is 100.

Most intense lines, 15 to 90 degrees two-theta, by angle:
- 2θ = 23.76°, rel. 11
- 2θ = 27.50°, rel. 6
- 2θ = 39.29°, rel. 100
- 2θ = 46.43°, rel. 6
- 2θ = 56.78°, rel. 17
- 2θ = 62.41°, rel. 3
- 2θ = 64.22°, rel. 2
- 2θ = 71.23°, rel. 35
- 2θ = 84.50°, rel. 12
- 2θ = 89.37°, rel. 2

Structure:
```
FeAu3
1.0
6.4858 0.0000 0.0000
0.0000 6.4858 0.0000
0.0000 0.0000 6.4858
Fe Au
4 12
Direct
0.0000 0.0000 0.0000
0.0000 0.5000 0.5000
0.5000 0.0000 0.5000
0.5000 0.5000 0.0000
0.0000 0.0000 0.5000
0.0000 0.5000 0.0000
0.2500 0.2500 0.2500
0.2500 0.2500 0.7500
0.2500 0.7500 0.2500
0.2500 0.7500 0.7500
0.5000 0.0000 0.0000
0.5000 0.5000 0.5000
0.7500 0.2500 0.2500
0.7500 0.2500 0.7500
0.7500 0.7500 0.2500
0.7500 0.7500 0.7500
```


# 2
For Fe3Au, a PBE-relaxed structure gives the theoretical X-ray powder pattern in this record (Cu Kα).
Intensities are scaled so that the largest is 100.

Most intense lines, 15 to 90 degrees two-theta, by angle:
- 2θ = 28.21°, rel. 53
- 2θ = 33.21°, rel. 21
- 2θ = 38.53°, rel. 25
- 2θ = 42.04°, rel. 26
- 2θ = 44.12°, rel. 100
- 2θ = 58.34°, rel. 14
- 2θ = 69.71°, rel. 16
- 2θ = 78.28°, rel. 18
- 2θ = 84.87°, rel. 19
- 2θ = 86.29°, rel. 13

Structure:
```
Fe3Au
1.0
5.3960 0.0000 0.0000
-2.6980 4.6731 0.0000
0.0000 0.0000 4.2980
Fe Au
6 2
Direct
0.1552 0.3105 0.2500
0.1552 0.8448 0.2500
0.3105 0.1552 0.7500
0.6895 0.8448 0.2500
0.8448 0.1552 0.7500
0.8448 0.6895 0.7500
0.3333 0.6667 0.7500
0.6667 0.3333 0.2500
```


# 3
For Fe3Au, a PBE-relaxed structure gives the theoretical X-ray powder pattern in this record (Cu Kα).
Intensities are scaled so that the largest is 100.

Most intense lines, 15 to 90 degrees two-theta, by angle:
- 2θ = 23.08°, rel. 15
- 2θ = 26.42°, rel. 44
- 2θ = 41.31°, rel. 100
- 2θ = 42.65°, rel. 13
- 2θ = 47.17°, rel. 17
- 2θ = 48.52°, rel. 31
- 2θ = 56.09°, rel. 12
- 2θ = 69.99°, rel. 20
- 2θ = 83.64°, rel. 12
- 2θ = 85.65°, rel. 23

Structure:
```
Fe3Au
1.0
3.7523 0.0000 0.0000
0.0000 3.7523 0.0000
0.0000 0.0000 7.7076
Fe Au
6 2
Direct
0.0000 0.0000 0.0000
0.0000 0.5000 0.2500
0.0000 0.5000 0.7500
0.5000 0.0000 0.2500
0.5000 0.0000 0.7500
0.5000 0.5000 0.5000
0.0000 0.0000 0.5000
0.5000 0.5000 0.0000
```


# 4
For Ga2Au, a PBE-relaxed structure gives the theoretical X-ray powder pattern in this record (Cu Kα).
Intensities are scaled so that the largest is 100.

Most intense lines, 15 to 90 degrees two-theta, by angle:
- 2θ = 22.45°, rel. 78
- 2θ = 28.97°, rel. 32
- 2θ = 34.49°, rel. 74
- 2θ = 34.62°, rel. 86
- 2θ = 36.92°, rel. 80
- 2θ = 38.13°, rel. 36
- 2θ = 43.62°, rel. 35
- 2θ = 43.73°, rel. 54
- 2θ = 44.04°, rel. 100
- 2θ = 58.48°, rel. 41

Structure:
```
Ga2Au
1.0
3.3465 0.0000 0.0000
0.0000 9.7375 0.0000
-1.6460 0.0000 6.8043
Ga Au
8 4
Direct
0.0063 0.1256 0.4078
0.0063 0.3744 0.9078
0.3514 0.1256 0.0602
0.3514 0.3744 0.5602
0.6486 0.6256 0.4398
0.6486 0.8744 0.9398
0.9937 0.6256 0.0922
0.9937 0.8744 0.5922
0.3180 0.6215 0.7610
0.3180 0.8785 0.2610
0.6820 0.1215 0.7390
0.6820 0.3785 0.2390
```


# 5
For GaAu2, a PBE-relaxed structure gives the theoretical X-ray powder pattern in this record (Cu Kα).
Intensities are scaled so that the largest is 100.

Most intense lines, 15 to 90 degrees two-theta, by angle:
- 2θ = 29.68°, rel. 31
- 2θ = 32.90°, rel. 43
- 2θ = 36.30°, rel. 28
- 2θ = 37.27°, rel. 44
- 2θ = 38.59°, rel. 76
- 2θ = 39.44°, rel. 31
- 2θ = 39.93°, rel. 100
- 2θ = 41.95°, rel. 27
- 2θ = 54.10°, rel. 26
- 2θ = 69.30°, rel. 23

Structure:
```
GaAu2
1.0
1.6950 -9.0543 0.0000
1.6950 9.0543 0.0000
0.0000 0.0000 6.9947
Ga Au
4 8
Direct
0.0593 0.9407 0.5000
0.2908 0.7092 0.5341
0.7092 0.2908 0.0341
0.9407 0.0593 0.0000
0.0863 0.9137 0.1274
0.1696 0.8304 0.7572
0.3227 0.6773 0.9032
0.4647 0.5353 0.3050
0.5353 0.4647 0.8050
0.6773 0.3227 0.4032
0.8304 0.1696 0.2572
0.9137 0.0863 0.6274
```


# 6
For GaAu, a PBE-relaxed structure gives the theoretical X-ray powder pattern in this record (Cu Kα).
Intensities are scaled so that the largest is 100.

Most intense lines, 15 to 90 degrees two-theta, by angle:
- 2θ = 27.93°, rel. 34
- 2θ = 28.43°, rel. 69
- 2θ = 39.71°, rel. 39
- 2θ = 40.13°, rel. 59
- 2θ = 40.28°, rel. 100
- 2θ = 44.44°, rel. 31
- 2θ = 50.83°, rel. 22
- 2θ = 65.59°, rel. 20
- 2θ = 66.36°, rel. 17
- 2θ = 79.10°, rel. 24

Structure:
```
GaAu
1.0
6.3880 0.0000 0.0000
0.0000 3.5927 0.0000
0.0000 0.0000 6.4539
Ga Au
4 4
Direct
0.1833 0.2500 0.0702
0.3167 0.7500 0.5702
0.6833 0.2500 0.4298
0.8167 0.7500 0.9298
0.0064 0.2500 0.6908
0.4936 0.7500 0.1908
0.5064 0.2500 0.8092
0.9936 0.7500 0.3092
```


# 7
For Ga2Au7, a PBE-relaxed structure gives the theoretical X-ray powder pattern in this record (Cu Kα).
Intensities are scaled so that the largest is 100.

Most intense lines, 15 to 90 degrees two-theta, by angle:
- 2θ = 34.96°, rel. 13
- 2θ = 37.70°, rel. 100
- 2θ = 39.83°, rel. 84
- 2θ = 40.05°, rel. 20
- 2θ = 46.51°, rel. 11
- 2θ = 56.00°, rel. 24
- 2θ = 67.74°, rel. 14
- 2θ = 70.90°, rel. 20
- 2θ = 72.30°, rel. 10
- 2θ = 75.98°, rel. 25

Structure:
```
Ga2Au7
1.0
7.8408 0.0000 0.0000
-3.9204 6.7903 0.0000
0.0000 0.0000 9.0212
Ga Au
6 21
Direct
0.0000 0.0000 0.1896
0.0000 0.0000 0.8104
0.3333 0.6667 0.3227
0.3333 0.6667 0.6773
0.6667 0.3333 0.3227
0.6667 0.3333 0.6773
0.0000 0.0000 0.5000
0.0000 0.3608 0.1687
0.0000 0.3608 0.8313
0.0000 0.3683 0.5000
0.0000 0.6861 0.3313
0.0000 0.6861 0.6687
0.0000 0.7226 0.0000
0.2774 0.2774 0.0000
0.3139 0.3139 0.3313
0.3139 0.3139 0.6687
0.3333 0.6667 0.0000
0.3608 0.0000 0.1687
0.3608 0.0000 0.8313
0.3683 0.0000 0.5000
0.6317 0.6317 0.5000
0.6392 0.6392 0.1687
0.6392 0.6392 0.8313
0.6667 0.3333 0.0000
0.6861 0.0000 0.3313
0.6861 0.0000 0.6687
0.7226 0.0000 0.0000
```


# 8
For Ga2Au, a PBE-relaxed structure gives the theoretical X-ray powder pattern in this record (Cu Kα).
Intensities are scaled so that the largest is 100.

Most intense lines, 15 to 90 degrees two-theta, by angle:
- 2θ = 24.38°, rel. 83
- 2θ = 26.61°, rel. 45
- 2θ = 29.34°, rel. 27
- 2θ = 34.76°, rel. 48
- 2θ = 36.44°, rel. 100
- 2θ = 42.38°, rel. 86
- 2θ = 42.96°, rel. 60
- 2θ = 49.97°, rel. 33
- 2θ = 66.09°, rel. 27
- 2θ = 68.01°, rel. 35

Structure:
```
Ga2Au
1.0
7.2827 0.0000 0.0000
0.0000 3.6490 0.0000
0.0000 0.0000 8.4540
Ga Au
8 4
Direct
0.0539 0.2500 0.1417
0.1245 0.2500 0.5596
0.3755 0.7500 0.0596
0.4461 0.7500 0.6417
0.5539 0.2500 0.3583
0.6245 0.2500 0.9404
0.8755 0.7500 0.4404
0.9461 0.7500 0.8583
0.2489 0.2500 0.8475
0.2511 0.7500 0.3475
0.7489 0.2500 0.6525
0.7511 0.7500 0.1525
```